Starting from a structure optimized by DFT (GGA-PBE), the powder XRD pattern of PaCu2S3 was computed for a wavelength of 1.5418 Å.
Intensities are scaled so that the largest is 100.

```
data_PaCu2S3
_cell_length_a 3.683
_cell_length_b 9.661
_cell_length_c 6.214
_cell_angle_alpha 90.00
_cell_angle_beta 90.00
_cell_angle_gamma 90.00
_symmetry_space_group_name_H-M 'P m c 21'
_symmetry_Int_Tables_number 26
_symmetry_space_group_name_Hall 'P 2c -2'
loop_
_atom_site_label
_atom_site_type_symbol
_atom_site_fract_x
_atom_site_fract_y
_atom_site_fract_z
_atom_site_occupancy
Pa1 Pa 0.000 0.133 0.000 1
Cu1 Cu 0.000 0.218 0.485 1
Cu2 Cu 0.500 0.496 0.755 1
S1 S 0.000 0.366 0.771 1
S2 S 0.500 0.054 0.689 1
S3 S 0.500 0.274 0.254 1
```

Most intense lines, 15 to 90 degrees two-theta, by intensity:
Position (°2θ), d [Å], Rel. int., (hkl)
37.89, 2.375, 100.0, 1 0 2
33.84, 2.649, 78.2, 1 2 1
23.33, 3.814, 76.4, 0 2 1
30.22, 2.958, 69.4, 0 1 2
25.89, 3.441, 59.9, 1 1 0
47.58, 1.911, 57.5, 1 3 2

Starting from a structure optimized by DFT (GGA-PBE), the powder XRD pattern of CsIn2PbAu4 was computed for a wavelength of 1.5418 Å.
Intensities are scaled so that the largest is 100.

```
data_CsIn2PbAu4
_cell_length_a 4.7129
_cell_length_b 4.7129
_cell_length_c 35.5649
_cell_angle_alpha 90.00
_cell_angle_beta 90.00
_cell_angle_gamma 120.00
_symmetry_space_group_name_H-M 'R -3 m'
_symmetry_Int_Tables_number 166
_symmetry_space_group_name_Hall '-R 3 2"'
loop_
_atom_site_label
_atom_site_type_symbol
_atom_site_fract_x
_atom_site_fract_y
_atom_site_fract_z
_atom_site_occupancy
Cs1 Cs 0.0000 0.0000 0.0000 1
In1 In 0.0000 0.0000 0.2438 1
Pb1 Pb 0.0000 0.0000 0.5000 1
Au1 Au 0.0000 0.0000 0.1181 1
Au2 Au 0.0000 0.0000 0.4100 1
```

Most intense lines, 15 to 90 degrees two-theta, by intensity:
Position (°2θ), d [Å], Rel. int., (hkl)
38.19, 2.356, 100.0, 1 1 0
29.71, 3.007, 76.8, 0 1 8
35.42, 2.534, 31.5, 0 1 11
33.42, 2.681, 28.3, 1 0 10
48.92, 1.862, 19.4, 0 1 17
49.12, 1.855, 19.2, 2 0 8

Starting from a structure optimized by DFT (GGA-PBE), the powder XRD pattern of HoTm3Sn2C was computed for a wavelength of 1.5418 Å.
Intensities are scaled so that the largest is 100.

```
data_HoTm3Sn2C
_cell_length_a 4.727
_cell_length_b 4.760
_cell_length_c 15.721
_cell_angle_alpha 90.00
_cell_angle_beta 90.00
_cell_angle_gamma 90.00
_symmetry_space_group_name_H-M 'I m m m'
_symmetry_Int_Tables_number 71
_symmetry_space_group_name_Hall '-I 2 2'
loop_
_atom_site_label
_atom_site_type_symbol
_atom_site_fract_x
_atom_site_fract_y
_atom_site_fract_z
_atom_site_occupancy
Ho1 Ho 0.000 0.000 0.000 1
Tm1 Tm 0.000 0.000 0.500 1
Tm2 Tm 0.000 0.500 0.158 1
Sn1 Sn 0.000 0.500 0.359 1
C1 C 0.000 0.500 0.000 1
```

Most intense lines, 15 to 90 degrees two-theta, by intensity:
Position (°2θ), d [Å], Rel. int., (hkl)
35.17, 2.551, 100.0, 1 1 4
28.94, 3.085, 71.4, 1 1 2
34.22, 2.620, 33.7, 0 0 6
37.80, 2.380, 29.4, 0 2 0
38.07, 2.364, 28.8, 2 0 0
54.73, 1.677, 20.4, 2 2 0

Starting from a structure optimized by DFT (GGA-PBE), the powder XRD pattern of NdSm5Tl was computed for a wavelength of 1.5418 Å.
Intensities are scaled so that the largest is 100.

```
data_NdSm5Tl
_cell_length_a 5.807
_cell_length_b 5.807
_cell_length_c 7.178
_cell_angle_alpha 90.00
_cell_angle_beta 90.00
_cell_angle_gamma 90.00
_symmetry_space_group_name_H-M 'P 4/m m m'
_symmetry_Int_Tables_number 123
_symmetry_space_group_name_Hall '-P 4 2'
loop_
_atom_site_label
_atom_site_type_symbol
_atom_site_fract_x
_atom_site_fract_y
_atom_site_fract_z
_atom_site_occupancy
Nd1 Nd 0.000 0.000 0.000 1
Sm1 Sm 0.000 0.500 0.245 1
Sm2 Sm 0.500 0.500 0.500 1
Tl1 Tl 0.000 0.000 0.500 1
```

Most intense lines, 15 to 90 degrees two-theta, by intensity:
Position (°2θ), d [Å], Rel. int., (hkl)
33.15, 2.702, 100.0, 1 1 2
30.79, 2.904, 60.8, 2 0 0
56.27, 1.635, 44.5, 3 1 2
44.11, 2.053, 22.8, 2 2 0
60.67, 1.526, 17.6, 2 0 4
69.58, 1.351, 11.7, 2 2 4

Starting from a structure optimized by DFT (GGA-PBE), the powder XRD pattern of Rb3Ge2PbCl9 was computed for a wavelength of 1.5418 Å.
Intensities are scaled so that the largest is 100.

```
data_Rb3Ge2PbCl9
_cell_length_a 7.6232
_cell_length_b 7.6232
_cell_length_c 9.5704
_cell_angle_alpha 90.00
_cell_angle_beta 90.00
_cell_angle_gamma 120.00
_symmetry_space_group_name_H-M 'P -3 m 1'
_symmetry_Int_Tables_number 164
_symmetry_space_group_name_Hall '-P 3 2"'
loop_
_atom_site_label
_atom_site_type_symbol
_atom_site_fract_x
_atom_site_fract_y
_atom_site_fract_z
_atom_site_occupancy
Rb1 Rb 0.0000 0.0000 0.0000 1
Rb2 Rb 0.3333 0.6667 0.7055 1
Ge1 Ge 0.3333 0.6667 0.1620 1
Pb1 Pb 0.0000 0.0000 0.5000 1
Cl1 Cl 0.0000 0.5000 0.0000 1
Cl2 Cl 0.1715 0.3430 0.3187 1
```

Most intense lines, 15 to 90 degrees two-theta, by intensity:
Position (°2θ), d [Å], Rel. int., (hkl)
32.97, 2.717, 100.0, 2 0 2
22.95, 3.874, 76.2, 0 1 2
23.34, 3.812, 67.8, 1 1 0
16.31, 5.434, 42.1, 1 0 1
40.78, 2.213, 33.8, 1 2 2
47.72, 1.906, 32.9, 2 2 0

Starting from a structure optimized by DFT (GGA-PBE), the powder XRD pattern of TmIn2Ni9 was computed for a wavelength of 1.5418 Å.
Intensities are scaled so that the largest is 100.

```
data_TmIn2Ni9
_cell_length_a 8.234
_cell_length_b 8.234
_cell_length_c 4.822
_cell_angle_alpha 90.00
_cell_angle_beta 90.00
_cell_angle_gamma 90.00
_symmetry_space_group_name_H-M 'P 4/m b m'
_symmetry_Int_Tables_number 127
_symmetry_space_group_name_Hall '-P 4 2ab'
loop_
_atom_site_label
_atom_site_type_symbol
_atom_site_fract_x
_atom_site_fract_y
_atom_site_fract_z
_atom_site_occupancy
Tm1 Tm 0.000 0.000 0.000 1
In1 In 0.125 0.375 0.000 1
Ni1 Ni 0.000 0.500 0.500 1
Ni2 Ni 0.063 0.205 0.500 1
Ni3 Ni 0.177 0.677 0.248 1
```

Most intense lines, 15 to 90 degrees two-theta, by intensity:
Position (°2θ), d [Å], Rel. int., (hkl)
39.33, 2.291, 100.0, 3 1 1
44.94, 2.017, 62.9, 2 1 2
43.87, 2.064, 33.8, 3 2 1
43.50, 2.080, 28.2, 2 0 2
45.42, 1.997, 27.8, 4 1 0
34.44, 2.604, 26.0, 3 1 0

Starting from a structure optimized by DFT (GGA-PBE), the powder XRD pattern of BRh2S2 was computed for a wavelength of 1.5418 Å.
Intensities are scaled so that the largest is 100.

```
data_BRh2S2
_cell_length_a 5.497
_cell_length_b 5.497
_cell_length_c 4.614
_cell_angle_alpha 90.00
_cell_angle_beta 90.00
_cell_angle_gamma 90.00
_symmetry_space_group_name_H-M 'P 4/m b m'
_symmetry_Int_Tables_number 127
_symmetry_space_group_name_Hall '-P 4 2ab'
loop_
_atom_site_label
_atom_site_type_symbol
_atom_site_fract_x
_atom_site_fract_y
_atom_site_fract_z
_atom_site_occupancy
B1 B 0.000 0.000 0.000 1
Rh1 Rh 0.178 0.322 0.500 1
S1 S 0.185 0.315 0.000 1
```

Most intense lines, 15 to 90 degrees two-theta, by intensity:
Position (°2θ), d [Å], Rel. int., (hkl)
36.55, 2.459, 100.0, 2 1 0
54.55, 1.682, 60.2, 2 1 2
19.24, 4.614, 58.8, 0 0 1
32.58, 2.749, 51.2, 2 0 0
39.05, 2.307, 44.6, 0 0 2
41.63, 2.170, 42.4, 2 1 1

Starting from a structure optimized by DFT (GGA-PBE), the powder XRD pattern of Zn2BiF8 was computed for a wavelength of 1.5418 Å.
Intensities are scaled so that the largest is 100.

```
data_Zn2BiF8
_cell_length_a 5.537
_cell_length_b 5.537
_cell_length_c 10.474
_cell_angle_alpha 90.00
_cell_angle_beta 90.00
_cell_angle_gamma 90.00
_symmetry_space_group_name_H-M 'I 4 2 2'
_symmetry_Int_Tables_number 97
_symmetry_space_group_name_Hall 'I 4 2'
loop_
_atom_site_label
_atom_site_type_symbol
_atom_site_fract_x
_atom_site_fract_y
_atom_site_fract_z
_atom_site_occupancy
Zn1 Zn 0.000 0.500 0.250 1
Bi1 Bi 0.000 0.000 0.000 1
F1 F 0.164 0.293 0.875 1
```

Most intense lines, 15 to 90 degrees two-theta, by intensity:
Position (°2θ), d [Å], Rel. int., (hkl)
18.12, 4.895, 100.0, 1 0 1
28.46, 3.136, 86.4, 1 1 2
47.81, 1.902, 34.1, 2 0 4
37.31, 2.410, 28.5, 2 1 1
55.32, 1.661, 27.6, 3 1 2
46.37, 1.958, 22.9, 2 2 0